[1]
Theoretical powder diffractogram of ZnFe4CoO8 for Cu Kα (weighted mean of Kα1 and Kα2), from a PBE+U-relaxed structure.
Peak positions follow from Bragg's law for the DFT cell and can differ from measured ones.

Crystal structure
```
data_ZnFe4CoO8
_space_group_name_H-M_alt 'R 3 m'
_space_group_IT_number 160
_space_group_name_Hall 'R 3 -2"'
_cell_length_a 6.0537
_cell_length_b 6.0537
_cell_length_c 14.8258
_cell_angle_alpha 90.00
_cell_angle_beta 90.00
_cell_angle_gamma 120.00
loop_
_atom_site_label
_atom_site_fract_x
_atom_site_fract_y
_atom_site_fract_z
Zn1 0.0000 0.0000 0.0000
Fe1 0.0000 0.0000 0.6217
Fe2 0.1691 0.3382 0.8314
Co1 0.0000 0.0000 0.3757
O1 0.0000 0.0000 0.2395
O2 0.0000 0.0000 0.7552
O3 0.0216 0.5108 0.7558
O4 0.1735 0.3470 0.5768
```

Most intense lines, 2θ from 15° to 90°, sorted by position:
- hkl 1 0 1, 2θ = 17.9°, I 10
- hkl 1 1 0, 2θ = 29.5°, I 28
- hkl 0 1 5, 2θ = 34.8°, I 100
- hkl 2 0 2, 2θ = 36.4°, I 10
- hkl 0 2 4, 2θ = 42.2°, I 21
- hkl 0 1 8, 2θ = 52.4°, I 10
- hkl 1 2 5, 2θ = 55.8°, I 35
- hkl 2 2 0, 2θ = 61.2°, I 45
- hkl 3 1 5, 2θ = 72.4°, I 10
- hkl 1 0 13, 2θ = 87.5°, I 17

[2]
Theoretical powder diffractogram of MgV4O8 for Cu Kα (weighted mean of Kα1 and Kα2), from a PBE+U-relaxed structure.
Peak positions follow from Bragg's law for the DFT cell and can differ from measured ones.

Crystal structure
```
data_MgV4O8
_space_group_name_H-M_alt 'C 1 2/m 1'
_space_group_IT_number 12
_cell_length_a 12.5863
_cell_length_b 3.7428
_cell_length_c 6.6136
_cell_angle_alpha 90.00
_cell_angle_beta 107.89
_cell_angle_gamma 90.00
loop_
_space_group_symop_operation_xyz
'x,y,z'
'-x,-y,-z'
'-x,y,-z'
'x,-y,z'
'x+1/2,y+1/2,z'
'-x+1/2,-y+1/2,-z'
'-x+1/2,y+1/2,-z'
'x+1/2,-y+1/2,z'
loop_
_atom_site_label
_atom_site_fract_x
_atom_site_fract_y
_atom_site_fract_z
Mg1 0.0000 0.0000 0.0000
V1 0.1028 0.5000 0.6898
V2 0.1981 0.5000 0.2881
O1 0.0598 0.5000 0.3701
O2 0.1065 0.5000 0.0168
O3 0.1515 0.0000 0.7404
O4 0.2339 0.0000 0.3536
```

Most intense lines, 2θ from 15° to 90°, sorted by position:
- hkl 2 0 1, 2θ = 23.4°, I 27
- hkl 1 1 0, 2θ = 24.9°, I 100
- hkl 2 0 -2, 2θ = 27.7°, I 37
- hkl 0 0 2, 2θ = 28.4°, I 52
- hkl 1 1 1, 2θ = 29.9°, I 50
- hkl 3 1 -1, 2θ = 32.8°, I 68
- hkl 0 0 3, 2θ = 43.1°, I 96
- hkl 0 2 0, 2θ = 48.7°, I 58
- hkl 7 1 -1, 2θ = 56.9°, I 30
- hkl 0 2 3, 2θ = 67.0°, I 42